# LiCu2AgI4
Simulated powder diffraction line list, CuKα. Input: a cell relaxed with GGA-PBE.

Peak list (10 most intense, 15° ≤ 2θ ≤ 90°, by angle)
5.607 Å, rel. 8
3.634 Å, rel. 100
2.237 Å, rel. 46
2.203 Å, rel. 23
1.926 Å, rel. 15
1.884 Å, rel. 31
1.558 Å, rel. 7
1.450 Å, rel. 11
1.278 Å, rel. 14
1.200 Å, rel. 7

Structural model:
Unit cell a=7.791 b=7.791 c=7.791 alpha=132.86 beta=132.86 gamma=68.88
Element x y z (fractional)
Li 0.000 0.000 0.000
Cu 0.250 0.750 0.500
Cu 0.750 0.250 0.500
Ag 0.500 0.500 0.000
I 0.108 0.620 0.000
I 0.380 0.380 0.488
I 0.620 0.108 0.000
I 0.892 0.892 0.512